1.
The following is a simulated powder diffractogram of Li4Mn3SbO8. It was derived from a cell relaxed with GGA+U, using Cu Kα (λ = 1.5418 Å).

Peak list (10 most intense, 2θ = 5–70°, by angle)
- 2θ 17.5, I 20
- 2θ 17.9, I 100
- 2θ 33.7, I 51
- 2θ 35.3, I 21
- 2θ 41.3, I 77
- 2θ 45.4, I 18
- 2θ 55.0, I 15
- 2θ 59.2, I 23
- 2θ 60.5, I 21
- 2θ 62.4, I 18

a b c (Å): 6.1215 6.1215 6.1187
angles (deg): 118.64 118.64 61.34
Fractional positions:
1 Li 0.0000 0.0000 0.0000
2 Li 0.0000 0.5000 0.5000
3 Li 0.5000 0.0000 0.5000
4 Li 0.5000 0.5000 0.0000
5 Mn 0.0000 0.0000 0.5000
6 Mn 0.0000 0.5000 0.0000
7 Mn 0.5000 0.0000 0.0000
8 Sb 0.5000 0.5000 0.5000
9 O 0.2342 0.2342 0.7633
10 O 0.2670 0.2670 0.2720
11 O 0.2666 0.7281 0.7329
12 O 0.2719 0.7334 0.2671
13 O 0.7281 0.2666 0.7329
14 O 0.7334 0.2719 0.2671
15 O 0.7330 0.7330 0.7280
16 O 0.7658 0.7658 0.2367

=====

2.
The following is a simulated powder diffractogram of Li4Mn3Sn3Sb2O16. It was derived from a cell relaxed with GGA+U, using Cu Kα (λ = 1.5418 Å).

Peak list (10 most intense, 2θ = 5–70°, by angle)
- 2θ 17.8, I 59
- 2θ 18.4, I 79
- 2θ 18.5, I 100
- 2θ 18.7, I 76
- 2θ 24.4, I 52
- 2θ 31.8, I 59
- 2θ 33.9, I 67
- 2θ 34.2, I 68
- 2θ 34.4, I 52
- 2θ 58.7, I 56

a b c (Å): 6.2916 6.2916 9.9541
angles (deg): 91.01 91.01 59.57
Fractional positions:
1 Li 0.0000 0.0000 0.0000
2 Li 0.0013 0.0013 0.5144
3 Li 0.3320 0.3320 0.5962
4 Li 0.6674 0.6674 0.0859
5 Mn 0.1634 0.1634 0.2823
6 Mn 0.3322 0.8201 0.7850
7 Mn 0.8201 0.3322 0.7850
8 Sn 0.1621 0.6542 0.2815
9 Sn 0.6542 0.1621 0.2815
10 Sn 0.8206 0.8206 0.7808
11 Sb 0.3214 0.3214 0.0037
12 Sb 0.6510 0.6510 0.5140
13 O 0.0379 0.4825 0.1454
14 O 0.1603 0.6479 0.9051
15 O 0.1622 0.1622 0.9087
16 O 0.3296 0.8192 0.3997
17 O 0.3351 0.3351 0.3925
18 O 0.4750 0.4750 0.1483
19 O 0.4825 0.0379 0.1454
20 O 0.5130 0.5130 0.6389
21 O 0.5197 0.9548 0.6360
22 O 0.6479 0.1603 0.9051
23 O 0.6683 0.6683 0.8911
24 O 0.8192 0.3296 0.3997
25 O 0.8266 0.8266 0.3958
26 O 0.9548 0.5197 0.6360
27 O 0.9851 0.9851 0.6960
28 O 0.9884 0.9884 0.1863

=====

3.
The following is a simulated powder diffractogram of Li4Ti3Mn3Sb2O16. It was derived from a cell relaxed with GGA+U, using Cu Kα (λ = 1.5418 Å).

Peak list (10 most intense, 2θ = 5–70°, by angle)
- 2θ 18.7, I 48
- 2θ 19.1, I 100
- 2θ 19.2, I 48
- 2θ 19.3, I 91
- 2θ 24.9, I 36
- 2θ 31.8, I 37
- 2θ 32.3, I 55
- 2θ 34.1, I 48
- 2θ 34.9, I 96
- 2θ 60.7, I 44

a b c (Å): 6.1098 6.1098 9.9083
angles (deg): 91.54 91.54 58.88
Fractional positions:
1 Li 0.0000 0.0000 0.0000
2 Li 0.0137 0.0137 0.5024
3 Li 0.3530 0.3530 0.5866
4 Li 0.6746 0.6746 0.0928
5 Ti 0.1748 0.6620 0.2745
6 Ti 0.6620 0.1748 0.2745
7 Ti 0.8382 0.8382 0.7741
8 Mn 0.1769 0.1769 0.2841
9 Mn 0.3465 0.8368 0.7748
10 Mn 0.8368 0.3465 0.7748
11 Sb 0.3316 0.3316 0.9945
12 Sb 0.6768 0.6768 0.5031
13 O 0.0061 0.0061 0.6872
14 O 0.0388 0.5161 0.1557
15 O 0.1549 0.6733 0.8852
16 O 0.1600 0.1600 0.8962
17 O 0.3439 0.8350 0.4004
18 O 0.3594 0.3594 0.3850
19 O 0.4889 0.4889 0.1611
20 O 0.5161 0.0388 0.1557
21 O 0.5354 0.5354 0.6404
22 O 0.5462 0.9775 0.6383
23 O 0.6733 0.1549 0.8852
24 O 0.6837 0.6837 0.8788
25 O 0.8350 0.3439 0.4004
26 O 0.8431 0.8431 0.3936
27 O 0.9775 0.5462 0.6383
28 O 0.9974 0.9974 0.1908

=====

4.
The following is a simulated powder diffractogram of Li4Mn3V2Sb3O16. It was derived from a cell relaxed with GGA+U, using Cu Kα (λ = 1.5418 Å).

Peak list (10 most intense, 2θ = 5–70°, by angle)
- 2θ 16.3, I 20
- 2θ 18.1, I 100
- 2θ 18.2, I 38
- 2θ 18.7, I 41
- 2θ 19.1, I 32
- 2θ 34.4, I 29
- 2θ 34.6, I 39
- 2θ 34.8, I 22
- 2θ 44.3, I 24
- 2θ 58.9, I 21

a b c (Å): 6.1518 6.2452 9.8173
angles (deg): 87.46 89.96 60.84
Fractional positions:
1 Li 0.0000 0.0000 0.0000
2 Li 0.0083 0.9817 0.5176
3 Li 0.3414 0.3277 0.6173
4 Li 0.6831 0.6429 0.0991
5 Mn 0.1703 0.6663 0.2892
6 Mn 0.3348 0.8443 0.7934
7 Mn 0.8317 0.8344 0.7926
8 V 0.3187 0.3610 0.0037
9 V 0.6531 0.7067 0.5297
10 Sb 0.1681 0.1715 0.2885
11 Sb 0.6624 0.1731 0.2866
12 Sb 0.8280 0.3494 0.7866
13 O 0.0431 0.4626 0.1613
14 O 0.1443 0.1887 0.9042
15 O 0.1457 0.6818 0.9143
16 O 0.3134 0.8670 0.4068
17 O 0.3471 0.3113 0.4007
18 O 0.4800 0.0418 0.1664
19 O 0.4980 0.4682 0.1618
20 O 0.5330 0.5165 0.6521
21 O 0.5453 0.9579 0.6579
22 O 0.6577 0.1989 0.9059
23 O 0.6863 0.6566 0.8962
24 O 0.8210 0.8619 0.4040
25 O 0.8441 0.3138 0.3965
26 O 0.9697 0.5070 0.6565
27 O 0.9766 0.0215 0.6997
28 O 0.9893 0.0229 0.1853

=====

5.
The following is a simulated powder diffractogram of Li4Mn3V3Sb2O16. It was derived from a cell relaxed with GGA+U, using Cu Kα (λ = 1.5418 Å).

Peak list (10 most intense, 2θ = 5–70°, by angle)
- 2θ 18.8, I 34
- 2θ 19.3, I 100
- 2θ 19.5, I 62
- 2θ 25.2, I 26
- 2θ 32.2, I 25
- 2θ 32.7, I 35
- 2θ 34.4, I 31
- 2θ 35.3, I 47
- 2θ 59.7, I 25
- 2θ 61.1, I 31

a b c (Å): 5.9364 6.0682 9.7908
angles (deg): 91.61 90.07 119.28
Fractional positions:
1 Li 0.0000 0.0000 0.0000
2 Li 0.0024 0.0076 0.4987
3 Li 0.3484 0.6937 0.5855
4 Li 0.6781 0.3508 0.0847
5 Mn 0.1734 0.3459 0.2776
6 Mn 0.3459 0.1838 0.7758
7 Mn 0.8397 0.1841 0.7758
8 V 0.1792 0.8386 0.2742
9 V 0.6572 0.8385 0.2703
10 V 0.8367 0.6720 0.7706
11 Sb 0.3386 0.6757 0.9995
12 Sb 0.6751 0.3512 0.4997
13 O 0.0078 0.0142 0.6882
14 O 0.0477 0.5464 0.1391
15 O 0.1673 0.3333 0.8975
16 O 0.1671 0.8339 0.8954
17 O 0.3363 0.1661 0.3981
18 O 0.3691 0.7053 0.3814
19 O 0.4988 0.9787 0.1429
20 O 0.5032 0.5470 0.1385
21 O 0.5330 0.0638 0.6451
22 O 0.5340 0.5117 0.6355
23 O 0.6677 0.8322 0.8944
24 O 0.6755 0.3493 0.8726
25 O 0.8285 0.1680 0.3971
26 O 0.8340 0.6747 0.3893
27 O 0.9795 0.5137 0.6343
28 O 0.9837 0.9851 0.1875

=====

6.
The following is a simulated powder diffractogram of Li4Mn3V2Sb3O16. It was derived from a cell relaxed with GGA+U, using Cu Kα (λ = 1.5418 Å).

Peak list (10 most intense, 2θ = 5–70°, by angle)
- 2θ 18.2, I 100
- 2θ 18.4, I 39
- 2θ 18.8, I 42
- 2θ 33.6, I 31
- 2θ 34.6, I 48
- 2θ 34.7, I 28
- 2θ 35.1, I 31
- 2θ 43.5, I 30
- 2θ 44.3, I 36
- 2θ 59.4, I 37

a b c (Å): 6.1207 6.2317 9.7598
angles (deg): 88.12 89.95 60.60
Fractional positions:
1 Li 0.0000 0.0000 0.0000
2 Li 0.0053 0.9894 0.5175
3 Li 0.3325 0.3358 0.6173
4 Li 0.6724 0.6558 0.1009
5 Mn 0.1619 0.6759 0.2902
6 Mn 0.3317 0.8419 0.7944
7 Mn 0.8271 0.8415 0.7943
8 V 0.3186 0.3630 0.0062
9 V 0.6428 0.7152 0.5302
10 Sb 0.1644 0.1796 0.2881
11 Sb 0.6561 0.1800 0.2879
12 Sb 0.8217 0.3572 0.7871
13 O 0.0423 0.4744 0.1577
14 O 0.1461 0.2021 0.9081
15 O 0.1585 0.6826 0.9088
16 O 0.3161 0.8668 0.4081
17 O 0.3357 0.3285 0.4030
18 O 0.4787 0.0430 0.1643
19 O 0.4838 0.4748 0.1577
20 O 0.5217 0.9582 0.6570
21 O 0.5250 0.5209 0.6531
22 O 0.6515 0.2026 0.9084
23 O 0.6636 0.6731 0.8960
24 O 0.8172 0.8666 0.4081
25 O 0.8361 0.3278 0.3974
26 O 0.9553 0.5208 0.6531
27 O 0.9877 0.0252 0.1851
28 O 0.9894 0.0214 0.7024

=====

7.
The following is a simulated powder diffractogram of Li4MnSb2WO12. It was derived from a cell relaxed with GGA+U, using Cu Kα (λ = 1.5418 Å).

Peak list (10 most intense, 2θ = 5–70°, by angle)
- 2θ 11.9, I 9
- 2θ 23.9, I 100
- 2θ 33.1, I 39
- 2θ 35.0, I 25
- 2θ 42.8, I 14
- 2θ 48.9, I 18
- 2θ 53.8, I 23
- 2θ 56.4, I 14
- 2θ 57.8, I 7
- 2θ 61.5, I 9

a b c (Å): 5.4389 9.0625 9.0794
angles (deg): 68.87 86.26 86.31
Fractional positions:
1 Li 0.0000 0.0000 0.0000
2 Li 0.9999 0.5000 0.5000
3 Li 0.0121 0.2676 0.2685
4 Li 0.0124 0.7676 0.7685
5 Li 0.3492 0.7191 0.2177
6 Li 0.3495 0.2194 0.7177
7 Li 0.4723 0.0143 0.5155
8 Li 0.4723 0.5143 0.0155
9 Mn 0.4204 0.3647 0.3627
10 Mn 0.4205 0.8648 0.8629
11 Sb 0.4230 0.1140 0.1139
12 Sb 0.4230 0.6140 0.6139
13 Sb 0.9078 0.1180 0.6149
14 Sb 0.9077 0.6182 0.1147
15 W 0.9121 0.3666 0.8670
16 W 0.9121 0.8664 0.3670
17 O 0.0929 0.0500 0.2383
18 O 0.0928 0.5500 0.7383
19 O 0.1038 0.4888 0.2981
20 O 0.1035 0.9873 0.7984
21 O 0.2182 0.1824 0.4820
22 O 0.2182 0.2378 0.9241
23 O 0.2183 0.6824 0.9819
24 O 0.2182 0.7379 0.4242
25 O 0.3936 0.4268 0.5507
26 O 0.3935 0.9268 0.0507
27 O 0.3967 0.3030 0.1753
28 O 0.3968 0.8030 0.6752
29 O 0.5883 0.0494 0.7315
30 O 0.5883 0.5493 0.2315
31 O 0.5997 0.4823 0.8095
32 O 0.5996 0.9824 0.3095
33 O 0.7143 0.2332 0.4239
34 O 0.7143 0.7333 0.9238
35 O 0.7392 0.1728 0.9866
36 O 0.7392 0.6729 0.4866
37 O 0.9054 0.4230 0.0507
38 O 0.9052 0.9230 0.5507
39 O 0.9165 0.8070 0.1802
40 O 0.9168 0.3069 0.6802

=====

8.
The following is a simulated powder diffractogram of Li4MnSbW2O12. It was derived from a cell relaxed with GGA+U, using Cu Kα (λ = 1.5418 Å).

Peak list (10 most intense, 2θ = 5–70°, by angle)
- 2θ 20.8, I 16
- 2θ 23.4, I 53
- 2θ 23.9, I 100
- 2θ 32.6, I 21
- 2θ 33.0, I 20
- 2θ 33.1, I 19
- 2θ 34.4, I 15
- 2θ 34.7, I 14
- 2θ 34.9, I 13
- 2θ 54.0, I 13

a b c (Å): 5.1357 5.4192 7.6226
angles (deg): 85.87 89.31 89.77
Fractional positions:
1 Li 0.0000 0.0000 0.0000
2 Li 0.9997 0.0431 0.5486
3 Li 0.4928 0.5660 0.0180
4 Li 0.4966 0.5580 0.5474
5 Mn 0.4959 0.9832 0.7495
6 Sb 0.0001 0.4789 0.2529
7 W 0.5026 0.9813 0.2504
8 W 0.9934 0.4779 0.7516
9 O 0.1232 0.4636 0.5005
10 O 0.1799 0.1655 0.7965
11 O 0.1963 0.7793 0.1700
12 O 0.3012 0.6620 0.7963
13 O 0.3131 0.2837 0.1764
14 O 0.3626 0.9589 0.4780
15 O 0.6247 0.9512 0.0164
16 O 0.6783 0.6564 0.3167
17 O 0.6956 0.2844 0.6885
18 O 0.7997 0.7747 0.6888
19 O 0.8141 0.1570 0.3139
20 O 0.8744 0.4630 0.9993